Mn3O5F: simulated PXRD pattern (Cu Kα (weighted mean of Kα1 and Kα2)), based on a structure optimized by DFT (PBE+U).

Top 8 peaks for 2θ = 15–90°, in order of rising 2θ:
d = 3.268 Å, 2θ = 27.29°, I = 91.8; d = 3.157 Å, 2θ = 28.27°, I = 91.6; d = 2.515 Å, 2θ = 35.71°, I = 100.0; d = 2.270 Å, 2θ = 39.70°, I = 16.4; d = 1.701 Å, 2θ = 53.89°, I = 55.6; d = 1.669 Å, 2θ = 55.01°, I = 53.1; d = 1.510 Å, 2θ = 61.40°, I = 16.3; d = 1.353 Å, 2θ = 69.46°, I = 37.3

Crystal structure
abc: 9.0594 6.3136 6.5354
angles: 90.00 90.00 90.00
Space group Amm2 (No. 38)
One atom of each set of equivalent atoms:
Mn 0.0000 0.0000 0.9998
Mn 0.1589 0.0000 0.5000
Mn 0.3316 0.0000 0.0251
Mn 0.5000 0.0000 0.4923
O 0.0000 0.0000 0.3113
O 0.0000 0.0000 0.6977
O 0.1656 0.1943 0.0085
O 0.3267 0.0000 0.3145
O 0.5000 0.1939 0.0139
F 0.3285 0.0000 0.7085